Simulated XRD peak list of CrF3 for Cu Kα, from a PBE+U-relaxed structure.
Kinematic intensities with the Lorentz-polarization factor, no thermal factor.

Atomic structure:
abc: 5.375 5.375 5.375
angles: 56.33 56.33 56.33
Atoms (fractional coordinates):
Cr 0.000 0.000 0.000
Cr 0.500 0.500 0.500
F 0.128 0.750 0.372
F 0.250 0.628 0.872
F 0.372 0.128 0.750
F 0.628 0.872 0.250
F 0.750 0.372 0.128
F 0.872 0.250 0.628

Largest 10 diffraction maxima, low angle first, 10° ≤ 2θ ≤ 90°:
Position (°2θ)  I (rel.)
24.2  100
33.4  21
35.4  6
40.8  25
49.5  17
54.5  29
57.1  11
62.3  8
63.5  12
80.0  7